Starting from DFT lattice parameters and positions (GGA-PBE), the powder X-ray diffraction pattern of GdP3O9 was simulated for Cu Kα.

Unit cell a=7.0301 b=7.0301 c=7.2863 alpha=90.00 beta=90.00 gamma=105.16
Fractional positions:
Gd 0.1259 0.1259 0.0000
Gd 0.8741 0.8741 0.5000
P 0.2504 0.2504 0.5000
P 0.3117 0.6653 0.9563
P 0.3347 0.6883 0.5437
P 0.6653 0.3117 0.0437
P 0.6883 0.3347 0.4563
P 0.7496 0.7496 0.0000
O 0.1323 0.1719 0.6707
O 0.1719 0.1323 0.3293
O 0.1728 0.7888 0.5334
O 0.2112 0.8272 0.9666
O 0.2145 0.4689 0.0379
O 0.2522 0.4719 0.4533
O 0.3728 0.6272 0.7500
O 0.4689 0.2145 0.9621
O 0.4719 0.2522 0.5467
O 0.5281 0.7478 0.0467
O 0.5311 0.7855 0.4621
O 0.6272 0.3728 0.2500
O 0.7478 0.5281 0.9533
O 0.7855 0.5311 0.5379
O 0.7888 0.1728 0.4666
O 0.8272 0.2112 0.0334
O 0.8281 0.8677 0.8293
O 0.8677 0.8281 0.1707

Most intense lines, 2θ = 10–90°, by intensity:
24.4 deg, I = 100
15.9 deg, I = 79
26.1 deg, I = 74
29.0 deg, I = 64
17.9 deg, I = 47
24.1 deg, I = 45
13.0 deg, I = 41
45.9 deg, I = 37
34.8 deg, I = 36
36.1 deg, I = 28